Simulated X-ray diffraction stick pattern
Compound: Ba6ZnAu3
Radiation: a wavelength of 1.5418 Å
Structure: a cell relaxed with GGA-PBE

Principal peaks in the range 10° ≤ 2θ ≤ 90°, by angle:
| 2theta | d_spacing | I (rel.) |
| --- | --- | --- |
| 11.19 | 7.907 | 64 |
| 11.71 | 7.559 | 39 |
| 26.56 | 3.356 | 56 |
| 29.37 | 3.041 | 34 |
| 29.61 | 3.017 | 77 |
| 30.26 | 2.954 | 100 |
| 35.23 | 2.548 | 28 |
| 38.58 | 2.334 | 67 |

```
Ba6ZnAu3
1.0
12.193 0.000 0.000
0.000 4.667 0.000
-5.551 0.000 15.117
Ba Zn Au
12 2 6
direct
0.009 0.250 0.115
0.066 0.750 0.410
0.252 0.250 0.813
0.338 0.250 0.597
0.344 0.250 0.323
0.373 0.750 0.081
0.627 0.250 0.919
0.656 0.750 0.677
0.662 0.750 0.403
0.748 0.750 0.187
0.934 0.250 0.590
0.991 0.750 0.885
0.435 0.750 0.771
0.565 0.250 0.229
0.156 0.750 0.643
0.174 0.250 0.992
0.415 0.750 0.477
0.585 0.250 0.523
0.826 0.750 0.008
0.844 0.250 0.357
```

Simulated X-ray diffraction stick pattern
Compound: Cu7Pt3Au
Radiation: a wavelength of 1.5418 Å
Structure: a cell relaxed with GGA-PBE

Principal peaks in the range 10° ≤ 2θ ≤ 90°, by angle:
| 2theta | d_spacing | I (rel.) |
| --- | --- | --- |
| 22.65 | 3.925 | 87 |
| 29.64 | 3.014 | 58 |
| 29.77 | 3.001 | 60 |
| 38.80 | 2.321 | 94 |
| 39.46 | 2.284 | 85 |
| 44.28 | 2.046 | 100 |
| 44.56 | 2.034 | 98 |
| 56.54 | 1.628 | 57 |

```
Cu7Pt3Au
1.0
4.543 -4.567 0.000
4.543 4.567 0.000
-2.337 0.000 4.011
Cu Pt Au
7 3 1
direct
0.000 0.000 0.000
0.087 0.573 0.330
0.323 0.323 0.829
0.427 0.913 0.670
0.573 0.087 0.330
0.677 0.677 0.171
0.913 0.427 0.670
0.270 0.730 0.000
0.500 0.500 0.500
0.730 0.270 0.000
0.000 0.000 0.500
```

Simulated X-ray diffraction stick pattern
Compound: Sc6CN
Radiation: a wavelength of 1.5418 Å
Structure: a cell relaxed with GGA-PBE

Principal peaks in the range 10° ≤ 2θ ≤ 90°, by angle:
| 2theta | d_spacing | I (rel.) |
| --- | --- | --- |
| 17.95 | 4.943 | 19 |
| 31.35 | 2.854 | 15 |
| 31.84 | 2.810 | 26 |
| 35.27 | 2.544 | 100 |
| 45.29 | 2.002 | 21 |
| 55.80 | 1.648 | 16 |
| 58.98 | 1.566 | 19 |
| 65.70 | 1.421 | 13 |

```
Sc6CN
1.0
5.707 0.000 0.000
-2.854 4.943 0.000
0.000 0.000 5.620
Sc C N
6 1 1
direct
0.000 0.305 0.248
0.000 0.695 0.752
0.305 0.000 0.248
0.305 0.305 0.752
0.695 0.000 0.752
0.695 0.695 0.248
0.000 0.000 0.500
0.000 0.000 0.000
```

Simulated X-ray diffraction stick pattern
Compound: ReMo2Ru
Radiation: a wavelength of 1.5418 Å
Structure: a cell relaxed with GGA-PBE

Principal peaks in the range 10° ≤ 2θ ≤ 90°, by angle:
| 2theta | d_spacing | I (rel.) |
| --- | --- | --- |
| 10.57 | 8.372 | 26 |
| 39.73 | 2.269 | 100 |
| 43.22 | 2.093 | 18 |
| 44.68 | 2.028 | 18 |
| 50.47 | 1.808 | 13 |
| 63.91 | 1.457 | 11 |
| 76.91 | 1.240 | 11 |
| 78.98 | 1.212 | 13 |

```
ReMo2Ru
1.0
3.616 0.000 0.000
0.000 4.056 0.000
0.000 0.000 8.372
Re Mo Ru
2 4 2
direct
0.000 0.000 0.000
0.500 0.500 0.000
0.000 0.000 0.467
0.000 0.500 0.738
0.500 0.000 0.738
0.500 0.500 0.467
0.000 0.500 0.220
0.500 0.000 0.220
```

Simulated X-ray diffraction stick pattern
Compound: AcZnH4
Radiation: a wavelength of 1.5418 Å
Structure: a cell relaxed with GGA-PBE

Principal peaks in the range 10° ≤ 2θ ≤ 90°, by angle:
| 2theta | d_spacing | I (rel.) |
| --- | --- | --- |
| 16.28 | 5.446 | 34 |
| 23.13 | 3.845 | 33 |
| 26.86 | 3.319 | 44 |
| 28.42 | 3.140 | 100 |
| 29.12 | 3.066 | 50 |
| 30.19 | 2.960 | 34 |
| 32.26 | 2.775 | 71 |
| 42.44 | 2.130 | 28 |

```
AcZnH4
1.0
3.419 -5.920 0.000
3.419 5.920 0.000
-1.828 0.000 3.704
Ac Zn H
2 2 8
direct
0.133 0.867 0.750
0.867 0.133 0.250
0.417 0.583 0.250
0.583 0.417 0.750
0.124 0.255 0.893
0.187 0.567 0.397
0.255 0.124 0.393
0.433 0.813 0.103
0.567 0.187 0.897
0.745 0.876 0.607
0.813 0.433 0.603
0.876 0.745 0.107
```

Simulated X-ray diffraction stick pattern
Compound: Rb3WCl6
Radiation: a wavelength of 1.5418 Å
Structure: a cell relaxed with GGA-PBE

Principal peaks in the range 10° ≤ 2θ ≤ 90°, by angle:
| 2theta | d_spacing | I (rel.) |
| --- | --- | --- |
| 13.84 | 6.397 | 27 |
| 16.00 | 5.540 | 25 |
| 22.70 | 3.917 | 100 |
| 32.32 | 2.770 | 59 |
| 39.86 | 2.262 | 43 |
| 46.36 | 1.959 | 39 |
| 52.22 | 1.752 | 25 |
| 62.76 | 1.481 | 27 |

```
Rb3WCl6
1.0
0.000 5.540 5.540
5.540 0.000 5.540
5.540 5.540 0.000
Rb W Cl
3 1 6
direct
0.000 0.000 0.000
0.250 0.250 0.250
0.750 0.750 0.750
0.500 0.500 0.500
0.279 0.279 0.721
0.279 0.721 0.279
0.279 0.721 0.721
0.721 0.279 0.279
0.721 0.279 0.721
0.721 0.721 0.279
```

Simulated X-ray diffraction stick pattern
Compound: Nd2Sc3Si4
Radiation: a wavelength of 1.5418 Å
Structure: a cell relaxed with GGA-PBE

Principal peaks in the range 10° ≤ 2θ ≤ 90°, by angle:
| 2theta | d_spacing | I (rel.) |
| --- | --- | --- |
| 17.17 | 5.163 | 96 |
| 25.09 | 3.550 | 63 |
| 31.61 | 2.831 | 72 |
| 32.41 | 2.762 | 89 |
| 34.25 | 2.618 | 100 |
| 34.53 | 2.597 | 92 |
| 34.78 | 2.580 | 88 |
| 38.30 | 2.350 | 74 |

```
Nd2Sc3Si4
1.0
7.482 0.000 0.000
0.000 7.506 0.000
-2.233 0.000 6.849
Nd Sc Si
4 6 8
direct
0.194 0.172 0.074
0.194 0.328 0.574
0.806 0.672 0.426
0.806 0.828 0.926
0.251 0.678 0.251
0.251 0.822 0.751
0.500 0.000 0.500
0.500 0.500 0.000
0.749 0.178 0.249
0.749 0.322 0.749
0.078 0.537 0.873
0.078 0.963 0.373
0.497 0.120 0.873
0.497 0.380 0.373
0.503 0.620 0.627
0.503 0.880 0.127
0.922 0.037 0.627
0.922 0.463 0.127
```

Simulated X-ray diffraction stick pattern
Compound: Ca5Zn3
Radiation: a wavelength of 1.5418 Å
Structure: a cell relaxed with GGA-PBE

Principal peaks in the range 10° ≤ 2θ ≤ 90°, by angle:
| 2theta | d_spacing | I (rel.) |
| --- | --- | --- |
| 21.51 | 4.132 | 25 |
| 29.91 | 2.987 | 42 |
| 31.92 | 2.803 | 60 |
| 32.75 | 2.734 | 60 |
| 33.39 | 2.684 | 100 |
| 35.22 | 2.548 | 30 |
| 41.12 | 2.195 | 27 |
| 53.41 | 1.715 | 24 |

```
Ca5Zn3
1.0
0.000 8.661 3.154
8.631 0.000 3.154
8.631 8.661 0.000
Ca Zn
10 6
direct
0.000 0.000 0.000
0.037 0.462 0.169
0.168 0.331 0.463
0.331 0.168 0.038
0.462 0.037 0.332
0.500 0.500 0.500
0.537 0.962 0.832
0.668 0.831 0.538
0.831 0.668 0.963
0.962 0.537 0.669
0.000 0.000 0.500
0.091 0.410 0.909
0.410 0.091 0.590
0.500 0.500 0.000
0.591 0.909 0.091
0.909 0.591 0.409
```

Simulated X-ray diffraction stick pattern
Compound: OsW
Radiation: a wavelength of 1.5418 Å
Structure: a cell relaxed with GGA-PBE

Principal peaks in the range 10° ≤ 2θ ≤ 90°, by angle:
| 2theta | d_spacing | I (rel.) |
| --- | --- | --- |
| 37.15 | 2.420 | 37 |
| 40.44 | 2.230 | 44 |
| 41.69 | 2.167 | 71 |
| 42.50 | 2.127 | 100 |
| 56.07 | 1.640 | 23 |
| 74.97 | 1.267 | 19 |
| 80.14 | 1.198 | 21 |
| 82.61 | 1.168 | 19 |

```
OsW
1.0
4.958 0.000 0.000
0.000 4.461 0.000
0.000 0.000 5.546
Os W
4 4
direct
0.086 0.250 0.129
0.414 0.750 0.629
0.586 0.250 0.371
0.914 0.750 0.871
0.112 0.250 0.614
0.388 0.750 0.114
0.612 0.250 0.886
0.888 0.750 0.386
```

Simulated X-ray diffraction stick pattern
Compound: Mn2Fe2Co15
Radiation: a wavelength of 1.5418 Å
Structure: a cell relaxed with GGA-PBE

Principal peaks in the range 10° ≤ 2θ ≤ 90°, by angle:
| 2theta | d_spacing | I (rel.) |
| --- | --- | --- |
| 38.42 | 2.343 | 34 |
| 39.45 | 2.284 | 47 |
| 44.66 | 2.029 | 68 |
| 44.81 | 2.022 | 100 |
| 45.26 | 2.003 | 36 |
| 50.42 | 1.810 | 97 |
| 50.83 | 1.796 | 29 |
| 82.32 | 1.171 | 22 |

```
Mn2Fe2Co15
1.0
4.058 2.343 4.007
-4.058 2.343 4.007
0.000 -4.686 4.007
Mn Fe Co
2 2 15
direct
0.108 0.108 0.108
0.892 0.892 0.892
0.366 0.366 0.366
0.634 0.634 0.634
0.000 0.000 0.500
0.000 0.296 0.704
0.000 0.500 0.000
0.000 0.704 0.296
0.160 0.641 0.641
0.296 0.000 0.704
0.296 0.704 0.000
0.359 0.359 0.840
0.359 0.840 0.359
0.500 0.000 0.000
0.641 0.160 0.641
0.641 0.641 0.160
0.704 0.000 0.296
0.704 0.296 0.000
0.840 0.359 0.359
```

Simulated X-ray diffraction stick pattern
Compound: Y3Ga3Pd
Radiation: a wavelength of 1.5418 Å
Structure: a cell relaxed with GGA-PBE

Principal peaks in the range 10° ≤ 2θ ≤ 90°, by angle:
| 2theta | d_spacing | I (rel.) |
| --- | --- | --- |
| 31.97 | 2.800 | 81 |
| 32.44 | 2.760 | 88 |
| 32.68 | 2.740 | 22 |
| 33.35 | 2.687 | 36 |
| 36.99 | 2.431 | 37 |
| 39.66 | 2.272 | 100 |
| 41.60 | 2.171 | 56 |
| 64.36 | 1.448 | 24 |

```
Y3Ga3Pd
1.0
5.375 -2.171 0.000
5.375 2.171 0.000
-4.891 0.000 13.457
Y Ga Pd
6 6 2
direct
0.031 0.031 0.381
0.106 0.106 0.925
0.239 0.239 0.231
0.761 0.761 0.769
0.894 0.894 0.075
0.969 0.969 0.619
0.366 0.366 0.460
0.391 0.391 0.924
0.472 0.472 0.770
0.528 0.528 0.230
0.609 0.609 0.076
0.634 0.634 0.540
0.254 0.254 0.608
0.746 0.746 0.392
```

Simulated X-ray diffraction stick pattern
Compound: PuPa4N10
Radiation: a wavelength of 1.5418 Å
Structure: a cell relaxed with GGA-PBE

Principal peaks in the range 10° ≤ 2θ ≤ 90°, by angle:
| 2theta | d_spacing | I (rel.) |
| --- | --- | --- |
| 28.80 | 3.100 | 100 |
| 33.38 | 2.684 | 40 |
| 47.92 | 1.898 | 47 |
| 56.88 | 1.619 | 47 |
| 59.66 | 1.550 | 11 |
| 77.50 | 1.232 | 19 |
| 79.88 | 1.201 | 10 |
| 89.41 | 1.096 | 16 |

```
PuPa4N10
1.0
-4.242 4.242 2.687
4.242 -4.242 2.687
4.242 4.242 -2.687
Pu Pa N
1 4 10
direct
0.000 0.000 0.000
0.199 0.400 0.599
0.400 0.801 0.201
0.600 0.199 0.799
0.801 0.600 0.401
0.050 0.338 0.907
0.144 0.050 0.712
0.250 0.750 0.500
0.338 0.432 0.288
0.432 0.144 0.093
0.568 0.856 0.907
0.662 0.568 0.712
0.750 0.250 0.500
0.856 0.950 0.288
0.950 0.662 0.093
```